Starting from a structure optimized by DFT (GGA-PBE), the XRD peak list of Na2Ce2I5Br2 was computed for Cu Kα, 1.54184 Å.
No peak broadening, texture or thermal motion is included.

Atomic structure:
a b c (Å): 13.780 13.780 13.780
angles (deg): 153.00 153.00 38.56
Positions (direct):
Na  0.162  0.162  0.000
Na  0.838  0.838  0.000
Ce  0.378  0.378  0.000
Ce  0.622  0.622  0.000
I  0.121  0.621  0.500
I  0.379  0.879  0.500
I  0.500  0.500  0.000
I  0.621  0.121  0.500
I  0.879  0.379  0.500
Br  0.269  0.269  0.000
Br  0.731  0.731  0.000

Principal peaks in the range 2θ = 10–90°, most intense first:
2θ (°)	I_rel
27.7	100.0
14.2	77.1
13.6	59.5
39.4	56.9
23.9	49.0
39.6	39.2
27.4	37.9
31.0	33.1
48.9	30.5
34.0	26.5